[1]
Simulated XRD peak list of Ca2AlH10ClO8 for Cu Ka, from a cell relaxed with GGA-PBE.

Peak list (10 most intense, 2θ = 10–90°, low angle first)
| two_theta | I_rel |
| --- | --- |
| 11.14 | 100 |
| 22.40 | 22 |
| 22.74 | 13 |
| 23.47 | 18 |
| 30.74 | 27 |
| 31.45 | 13 |
| 38.75 | 12 |
| 38.94 | 15 |
| 42.28 | 13 |
| 52.97 | 11 |

Atomic structure:
Lattice parameters (Å, degrees): 10.1576 5.6887 16.1604 90.00 100.71 90.00
Space group C2/c (No. 15)
Asymmetric unit:
Ca 0.0942 0.2483 0.0383 [8 per cell]
Al 0.2500 0.2500 0.5000 [4 per cell]
H 0.1074 0.1139 0.2234 [8 per cell]
H 0.1086 0.3921 0.2226 [8 per cell]
H 0.1117 0.0005 0.3823 [8 per cell]
H 0.1178 0.2849 0.6203 [8 per cell]
H 0.1486 0.4658 0.8810 [8 per cell]
Cl 0.0000 0.2484 0.7500 [4 per cell]
O 0.1053 0.0681 0.4367 [8 per cell]
O 0.1167 0.3463 0.5640 [8 per cell]
O 0.1389 0.2517 0.1961 [8 per cell]
O 0.2031 0.4651 0.9373 [8 per cell]

***

[2]
Simulated XRD peak list of BaYF5 for Cu Ka, from a cell relaxed with GGA-PBE.

Peak list (10 most intense, 2θ = 10–90°, low angle first)
| two_theta | I_rel |
| --- | --- |
| 24.87 | 69 |
| 25.74 | 45 |
| 26.00 | 54 |
| 26.37 | 100 |
| 29.86 | 33 |
| 39.07 | 26 |
| 40.58 | 41 |
| 48.17 | 28 |
| 49.45 | 30 |
| 50.93 | 26 |

Atomic structure:
Lattice parameters (Å, degrees): 4.4802 16.3785 5.9906 90.00 92.72 90.00
Space group C2/c (No. 15)
Asymmetric unit:
Ba 0.0000 0.1725 0.2500 [4 per cell]
Y 0.0000 0.4266 0.2500 [4 per cell]
F 0.0000 0.1174 0.7500 [4 per cell]
F 0.0120 0.3168 0.0118 [8 per cell]
F 0.2265 0.4656 0.5917 [8 per cell]

***

[3]
Simulated XRD peak list of DyPd3 for Cu Ka, from a cell relaxed with GGA-PBE.

Peak list (10 most intense, 2θ = 10–90°, low angle first)
| two_theta | I_rel |
| --- | --- |
| 21.52 | 3 |
| 30.62 | 3 |
| 37.74 | 100 |
| 43.86 | 49 |
| 49.36 | 2 |
| 54.44 | 1 |
| 63.76 | 32 |
| 68.14 | 1 |
| 76.53 | 37 |
| 80.61 | 11 |

Atomic structure:
Lattice parameters (Å, degrees): 4.1286 4.1286 4.1286 90.00 90.00 90.00
Space group Pm-3m (No. 221)
Asymmetric unit:
Dy 0.0000 0.0000 0.0000 [1 per cell]
Pd 0.0000 0.5000 0.5000 [3 per cell]

***

[4]
Simulated XRD peak list of Na3SnPCO7 for Cu Ka, from a cell relaxed with GGA-PBE.

Peak list (10 most intense, 2θ = 10–90°, low angle first)
| two_theta | I_rel |
| --- | --- |
| 15.72 | 70 |
| 16.34 | 98 |
| 25.26 | 100 |
| 25.72 | 42 |
| 31.47 | 77 |
| 31.74 | 46 |
| 32.29 | 60 |
| 33.02 | 42 |
| 40.52 | 47 |
| 47.21 | 53 |

Atomic structure:
Lattice parameters (Å, degrees): 5.4332 7.0512 9.3979 90.00 92.93 90.00
Space group P2_1 (No. 4)
Asymmetric unit:
Na 0.0032 0.0000 0.1714 [2 per cell]
Na 0.0238 0.7195 0.4893 [2 per cell]
Na 0.4925 0.7217 0.0158 [2 per cell]
Sn 0.4470 0.4457 0.3160 [2 per cell]
P 0.4974 0.9585 0.3265 [2 per cell]
C 0.9997 0.4569 0.1431 [2 per cell]
O 0.0106 0.4645 0.2830 [2 per cell]
O 0.2042 0.9731 0.9314 [2 per cell]
O 0.2075 0.4321 0.0807 [2 per cell]
O 0.2620 0.0362 0.3928 [2 per cell]
O 0.2854 0.4446 0.5583 [2 per cell]
O 0.4197 0.5826 0.7972 [2 per cell]
O 0.4279 0.7564 0.2632 [2 per cell]

***

[5]
Simulated XRD peak list of LuSnPd2 for Cu Ka, from a cell relaxed with GGA-PBE.

Peak list (10 most intense, 2θ = 10–90°, low angle first)
| two_theta | I_rel |
| --- | --- |
| 22.92 | 2 |
| 26.52 | 3 |
| 37.86 | 100 |
| 44.72 | 1 |
| 46.82 | 1 |
| 54.62 | 17 |
| 61.72 | 1 |
| 68.38 | 35 |
| 80.91 | 11 |
| 86.98 | 1 |

Atomic structure:
Lattice parameters (Å, degrees): 6.7210 6.7210 6.7210 90.00 90.00 90.00
Space group Fm-3m (No. 225)
Asymmetric unit:
Lu 0.0000 0.0000 0.0000 [4 per cell]
Sn 0.0000 0.0000 0.5000 [4 per cell]
Pd 0.2500 0.2500 0.2500 [8 per cell]

***

[6]
Simulated XRD peak list of Li3Ag3Sn2 for Cu Ka, from a cell relaxed with GGA-PBE.

Peak list (10 most intense, 2θ = 10–90°, low angle first)
| two_theta | I_rel |
| --- | --- |
| 11.56 | 17 |
| 22.12 | 14 |
| 23.13 | 64 |
| 23.24 | 21 |
| 38.19 | 100 |
| 38.34 | 99 |
| 45.17 | 32 |
| 55.23 | 34 |
| 69.10 | 51 |
| 69.42 | 17 |

Atomic structure:
Lattice parameters (Å, degrees): 4.7127 4.7127 22.9623 90.00 90.00 120.00
Space group R3m (No. 160, hexagonal axes)
Asymmetric unit:
Li 0.0000 0.0000 0.0000 [3 per cell]
Li 0.0000 0.0000 0.1254 [3 per cell]
Li 0.0000 0.0000 0.5012 [3 per cell]
Ag 0.0000 0.0000 0.2495 [3 per cell]
Ag 0.0000 0.0000 0.6257 [3 per cell]
Ag 0.0000 0.0000 0.7512 [3 per cell]
Sn 0.0000 0.0000 0.3764 [3 per cell]
Sn 0.0000 0.0000 0.8746 [3 per cell]

***

[7]
Simulated XRD peak list of Mg5Zn for Cu Ka, from a cell relaxed with GGA-PBE.

Peak list (10 most intense, 2θ = 10–90°, low angle first)
| two_theta | I_rel |
| --- | --- |
| 20.26 | 18 |
| 22.39 | 12 |
| 33.15 | 32 |
| 34.10 | 26 |
| 38.06 | 100 |
| 48.30 | 19 |
| 61.05 | 15 |
| 62.49 | 22 |
| 71.26 | 19 |
| 74.25 | 13 |

Atomic structure:
Lattice parameters (Å, degrees): 5.2580 5.2580 16.2153 90.00 90.00 120.00
Space group R32 (No. 155, hexagonal axes)
Asymmetric unit:
Mg 0.0000 0.0000 0.1672 [6 per cell]
Mg 0.0000 0.6616 0.0000 [9 per cell]
Zn 0.0000 0.0000 0.5000 [3 per cell]